No. 1
Simulated powder XRD pattern of NpFe4Sb for copper Kα, from a GGA-PBE-relaxed structure.
Intensities are scaled so that the largest is 100.

Structural model:
Lattice parameters (Å, degrees): 5.008 5.008 5.008 60.00 60.00 60.00
Positions (direct):
Np 0.000 0.000 0.000
Fe 0.376 0.376 0.376
Fe 0.376 0.376 0.871
Fe 0.376 0.871 0.376
Fe 0.871 0.376 0.376
Sb 0.750 0.750 0.750

Most intense lines, 10° ≤ 2θ ≤ 90°, low angle first:
- 2θ 21.7, intensity 28
- 2θ 25.1, intensity 9
- 2θ 35.9, intensity 70
- 2θ 42.3, intensity 100
- 2θ 44.3, intensity 14
- 2θ 56.6, intensity 8
- 2θ 58.3, intensity 4
- 2θ 64.5, intensity 26
- 2θ 68.9, intensity 31
- 2θ 76.0, intensity 21
- 2θ 80.2, intensity 6
- 2θ 87.0, intensity 12

=====

No. 2
Simulated powder XRD pattern of Os2WBr2 for copper Kα, from a GGA-PBE-relaxed structure.
Intensities are scaled so that the largest is 100.

Structural model:
Lattice parameters (Å, degrees): 3.960 3.960 11.977 90.00 90.00 90.00
Positions (direct):
Os 0.000 0.000 0.098
Os 0.000 0.000 0.902
Os 0.500 0.500 0.402
Os 0.500 0.500 0.598
W 0.000 0.000 0.500
W 0.500 0.500 0.000
Br 0.000 0.500 0.250
Br 0.000 0.500 0.750
Br 0.500 0.000 0.250
Br 0.500 0.000 0.750

Most intense lines, 10° ≤ 2θ ≤ 90°, low angle first:
- 2θ 23.7, intensity 19
- 2θ 31.8, intensity 48
- 2θ 32.0, intensity 45
- 2θ 35.4, intensity 100
- 2θ 44.2, intensity 75
- 2θ 45.8, intensity 57
- 2θ 56.9, intensity 19
- 2θ 65.6, intensity 47
- 2θ 66.8, intensity 19
- 2θ 77.9, intensity 20
- 2θ 83.7, intensity 18
- 2θ 88.9, intensity 18

=====

No. 3
Simulated powder XRD pattern of Rb2Ge3As2 for copper Kα, from a GGA-PBE-relaxed structure.
Intensities are scaled so that the largest is 100.

Structural model:
Lattice parameters (Å, degrees): 14.988 3.811 8.196 90.00 108.15 90.00
Positions (direct):
Rb 0.135 0.000 0.225
Rb 0.365 0.500 0.775
Rb 0.635 0.500 0.225
Rb 0.865 0.000 0.775
Ge 0.000 0.500 0.500
Ge 0.093 0.500 0.815
Ge 0.407 0.000 0.185
Ge 0.500 0.000 0.500
Ge 0.593 0.000 0.815
Ge 0.907 0.500 0.185
As 0.155 0.000 0.673
As 0.345 0.500 0.327
As 0.655 0.500 0.673
As 0.845 0.000 0.327

Most intense lines, 10° ≤ 2θ ≤ 90°, low angle first:
- 2θ 14.0, intensity 18
- 2θ 22.8, intensity 35
- 2θ 25.0, intensity 34
- 2θ 30.0, intensity 100
- 2θ 34.2, intensity 27
- 2θ 34.9, intensity 37
- 2θ 39.2, intensity 32
- 2θ 44.3, intensity 19
- 2θ 47.7, intensity 18
- 2θ 49.8, intensity 18
- 2θ 50.8, intensity 23
- 2θ 63.4, intensity 15

=====

No. 4
Simulated powder XRD pattern of Nd3PSe6 for copper Kα, from a GGA-PBE-relaxed structure.
Intensities are scaled so that the largest is 100.

Structural model:
Lattice parameters (Å, degrees): 8.982 8.982 7.504 90.00 90.00 101.85
Positions (direct):
Nd 0.103 0.897 0.500
Nd 0.217 0.413 0.571
Nd 0.413 0.217 0.071
Nd 0.587 0.783 0.571
Nd 0.783 0.587 0.071
Nd 0.897 0.103 0.000
P 0.309 0.691 0.156
P 0.691 0.309 0.656
Se 0.078 0.596 0.293
Se 0.137 0.186 0.287
Se 0.186 0.137 0.787
Se 0.283 0.717 0.720
Se 0.404 0.922 0.293
Se 0.466 0.534 0.287
Se 0.534 0.466 0.787
Se 0.596 0.078 0.793
Se 0.717 0.283 0.220
Se 0.814 0.863 0.287
Se 0.863 0.814 0.787
Se 0.922 0.404 0.793

Most intense lines, 10° ≤ 2θ ≤ 90°, low angle first:
- 2θ 15.5, intensity 62
- 2θ 23.5, intensity 87
- 2θ 23.8, intensity 39
- 2θ 32.8, intensity 68
- 2θ 34.3, intensity 100
- 2θ 35.1, intensity 71
- 2θ 40.2, intensity 52
- 2θ 43.9, intensity 17
- 2θ 46.2, intensity 18
- 2θ 48.2, intensity 23
- 2θ 61.1, intensity 24
- 2θ 64.7, intensity 27